Entry 1:
The following is a simulated powder X-ray diffraction pattern of Er5CuS8. It was derived from a structure optimized by DFT (PBE), using λ = 1.5418 Å (Cu Kα).
Intensities are scaled so that the largest is 100.

Structure:
abc: 11.107 11.107 11.107
angles: 90.00 90.00 90.00
Space group F-43m (No. 216)
One atom of each set of equivalent atoms:
1 Er 0.000 0.000 0.000 [4 per cell]
2 Er 0.120 0.120 0.380 [16 per cell]
3 Cu 0.250 0.250 0.750 [4 per cell]
4 S 0.123 0.123 0.623 [16 per cell]
5 S 0.134 0.134 0.134 [16 per cell]

Principal peaks in the range 15 to 90 degrees two-theta, most intense first:
hkl, d/Å, I_rel
3 1 1, 3.349, 100
4 4 0, 1.963, 59
5 1 1, 2.138, 44
4 0 0, 2.777, 30
5 5 3, 1.446, 24
2 2 2, 3.206, 19
8 4 4, 1.134, 19
2 2 0, 3.927, 18
5 3 3, 1.694, 14
5 5 5, 1.283, 13
6 2 2, 1.674, 10
9 3 1, 1.164, 10

---

Entry 2:
The following is a simulated powder X-ray diffraction pattern of CeTm14Th. It was derived from a structure optimized by DFT (PBE), using λ = 1.5418 Å (Cu Kα).
Intensities are scaled so that the largest is 100.

Structure:
abc: 11.318 7.046 12.147
angles: 90.00 90.00 90.00
Space group Amm2 (No. 38)
One atom of each set of equivalent atoms:
1 Ce 0.000 0.000 0.000 [2 per cell]
2 Tm 0.000 0.250 0.250 [4 per cell]
3 Tm 0.251 0.000 0.665 [4 per cell]
4 Tm 0.252 0.000 0.167 [4 per cell]
5 Tm 0.252 0.250 0.418 [8 per cell]
6 Tm 0.500 0.000 0.334 [2 per cell]
7 Tm 0.500 0.000 0.833 [2 per cell]
8 Tm 0.500 0.250 0.085 [4 per cell]
9 Th 0.000 0.000 0.497 [2 per cell]

Principal peaks in the range 15 to 90 degrees two-theta, most intense first:
hkl, d/Å, I_rel
2 2 2, 2.681, 100
4 0 0, 2.829, 34
1 2 2, 2.943, 29
3 0 4, 2.369, 24
6 2 2, 1.603, 21
4 2 6, 1.492, 20
0 2 6, 1.755, 17
1 0 4, 2.933, 15
5 0 4, 1.816, 11
2 4 4, 1.471, 11
4 4 0, 1.495, 10
0 4 0, 1.762, 9